Structure and simulated XRD peak list of CsPa2O4 (the GGA-PBE geometry in OQMD; a wavelength of 1.5418 Å).
Kinematic intensities with the Lorentz-polarization factor, no thermal factor.

Top 10 peaks for 10° ≤ 2θ ≤ 90°, low angle first:
d = 6.082 Å, rel. 36
d = 3.725 Å, rel. 15
d = 3.176 Å, rel. 100
d = 3.041 Å, rel. 48
d = 2.634 Å, rel. 22
d = 2.027 Å, rel. 44
d = 1.862 Å, rel. 44
d = 1.607 Å, rel. 15
d = 1.588 Å, rel. 26
d = 1.372 Å, rel. 24

Structure:
```
data_CsPa2O4
_chemical_formula_sum 'Cs2 Pa4 O8'
_cell_length_a 7.4492
_cell_length_b 7.4492
_cell_length_c 7.4492
_cell_angle_alpha 60.00
_cell_angle_beta 60.00
_cell_angle_gamma 60.00
_symmetry_space_group_name_H-M 'P 1'
_symmetry_Int_Tables_number 1
loop_
_symmetry_equiv_pos_as_xyz
'x,y,z'
loop_
_atom_site_label
_atom_site_type_symbol
_atom_site_fract_x
_atom_site_fract_y
_atom_site_fract_z
Cs1 Cs 0.1250 0.1250 0.1250
Cs2 Cs 0.8750 0.8750 0.8750
Pa1 Pa 0.0000 0.5000 0.5000
Pa2 Pa 0.5000 0.0000 0.5000
Pa3 Pa 0.5000 0.5000 0.0000
Pa4 Pa 0.5000 0.5000 0.5000
O1 O 0.2786 0.2786 0.2786
O2 O 0.2786 0.2786 0.6642
O3 O 0.2786 0.6642 0.2786
O4 O 0.3358 0.7214 0.7214
O5 O 0.6642 0.2786 0.2786
O6 O 0.7214 0.3358 0.7214
O7 O 0.7214 0.7214 0.3358
O8 O 0.7214 0.7214 0.7214
```



Structure and simulated XRD peak list of Cs4Pa4O11 (the GGA-PBE geometry in OQMD; a wavelength of 1.5418 Å).
Kinematic intensities with the Lorentz-polarization factor, no thermal factor.

Top 10 peaks for 10° ≤ 2θ ≤ 90°, low angle first:
d = 4.476 Å, rel. 11
d = 3.188 Å, rel. 100
d = 3.165 Å, rel. 47
d = 2.271 Å, rel. 13
d = 2.238 Å, rel. 26
d = 1.845 Å, rel. 20
d = 1.832 Å, rel. 42
d = 1.594 Å, rel. 17
d = 1.207 Å, rel. 10
d = 1.198 Å, rel. 11

Structure:
```
data_Cs4Pa4O11
_chemical_formula_sum 'Cs4 Pa4 O11'
_cell_length_a 6.3795
_cell_length_b 6.3795
_cell_length_c 8.9438
_cell_angle_alpha 90.00
_cell_angle_beta 90.00
_cell_angle_gamma 90.78
_symmetry_space_group_name_H-M 'P 1'
_symmetry_Int_Tables_number 1
loop_
_symmetry_equiv_pos_as_xyz
'x,y,z'
loop_
_atom_site_label
_atom_site_type_symbol
_atom_site_fract_x
_atom_site_fract_y
_atom_site_fract_z
Cs1 Cs 0.2480 0.2480 0.2453
Cs2 Cs 0.2480 0.2480 0.7547
Cs3 Cs 0.7520 0.7520 0.2453
Cs4 Cs 0.7520 0.7520 0.7547
Pa1 Pa 0.2494 0.7506 0.0000
Pa2 Pa 0.2639 0.7361 0.5000
Pa3 Pa 0.7361 0.2639 0.5000
Pa4 Pa 0.7506 0.2494 0.0000
O1 O 0.0000 0.0000 0.0000
O2 O 0.0000 0.5000 0.0000
O3 O 0.0000 0.5000 0.5000
O4 O 0.2424 0.7576 0.2459
O5 O 0.2424 0.7576 0.7541
O6 O 0.5000 0.0000 0.0000
O7 O 0.5000 0.0000 0.5000
O8 O 0.5000 0.5000 0.0000
O9 O 0.5000 0.5000 0.5000
O10 O 0.7576 0.2424 0.2459
O11 O 0.7576 0.2424 0.7541
```



Structure and simulated XRD peak list of CsRbPd2O4 (the GGA-PBE geometry in OQMD; a wavelength of 1.5418 Å).
Kinematic intensities with the Lorentz-polarization factor, no thermal factor.

Top 10 peaks for 10° ≤ 2θ ≤ 90°, low angle first:
d = 4.378 Å, rel. 75
d = 4.282 Å, rel. 30
d = 3.533 Å, rel. 88
d = 3.080 Å, rel. 100
d = 2.991 Å, rel. 44
d = 2.728 Å, rel. 27
d = 2.344 Å, rel. 41
d = 2.146 Å, rel. 93
d = 2.141 Å, rel. 26
d = 1.581 Å, rel. 26

Structure:
```
data_CsRbPd2O4
_chemical_formula_sum 'Cs2 Rb2 Pd4 O8'
_cell_length_a 5.9824
_cell_length_b 4.6874
_cell_length_c 12.2608
_cell_angle_alpha 90.00
_cell_angle_beta 90.00
_cell_angle_gamma 90.00
_symmetry_space_group_name_H-M 'P 1'
_symmetry_Int_Tables_number 1
loop_
_symmetry_equiv_pos_as_xyz
'x,y,z'
loop_
_atom_site_label
_atom_site_type_symbol
_atom_site_fract_x
_atom_site_fract_y
_atom_site_fract_z
Cs1 Cs 0.0000 0.0000 0.0000
Cs2 Cs 0.0000 0.5000 0.5000
Rb1 Rb 0.5000 0.0000 0.6080
Rb2 Rb 0.5000 0.5000 0.1080
Pd1 Pd 0.0000 0.0000 0.3009
Pd2 Pd 0.0000 0.5000 0.8009
Pd3 Pd 0.5000 0.0000 0.3070
Pd4 Pd 0.5000 0.5000 0.8069
O1 O 0.2457 0.0000 0.4097
O2 O 0.2457 0.5000 0.9097
O3 O 0.2565 0.0000 0.1985
O4 O 0.2565 0.5000 0.6985
O5 O 0.7435 0.0000 0.1985
O6 O 0.7435 0.5000 0.6985
O7 O 0.7543 0.0000 0.4097
O8 O 0.7543 0.5000 0.9097
```



Structure and simulated XRD peak list of Cs2Sb2Pd2O7 (the GGA-PBE geometry in OQMD; a wavelength of 1.5418 Å).
Kinematic intensities with the Lorentz-polarization factor, no thermal factor.

Top 10 peaks for 10° ≤ 2θ ≤ 90°, low angle first:
d = 4.282 Å, rel. 17
d = 3.336 Å, rel. 94
d = 3.071 Å, rel. 100
d = 2.259 Å, rel. 38
d = 1.986 Å, rel. 19
d = 1.820 Å, rel. 36
d = 1.773 Å, rel. 20
d = 1.536 Å, rel. 16
d = 1.466 Å, rel. 15
d = 1.395 Å, rel. 14

Structure:
```
data_Cs2Sb2Pd2O7
_chemical_formula_sum 'Cs2 Sb2 Pd2 O7'
_cell_length_a 6.1429
_cell_length_b 6.1429
_cell_length_c 8.5638
_cell_angle_alpha 90.00
_cell_angle_beta 90.00
_cell_angle_gamma 120.00
_symmetry_space_group_name_H-M 'P 1'
_symmetry_Int_Tables_number 1
loop_
_symmetry_equiv_pos_as_xyz
'x,y,z'
loop_
_atom_site_label
_atom_site_type_symbol
_atom_site_fract_x
_atom_site_fract_y
_atom_site_fract_z
Cs1 Cs 0.3333 0.6667 0.1112
Cs2 Cs 0.6667 0.3333 0.8888
Sb1 Sb 0.3333 0.6667 0.6546
Sb2 Sb 0.6667 0.3333 0.3454
Pd1 Pd 0.0000 0.0000 0.2760
Pd2 Pd 0.0000 0.0000 0.7240
O1 O 0.0000 0.0000 0.5000
O2 O 0.1839 0.3678 0.7906
O3 O 0.1839 0.8161 0.7906
O4 O 0.3678 0.1839 0.2094
O5 O 0.6322 0.8161 0.7906
O6 O 0.8161 0.1839 0.2094
O7 O 0.8161 0.6322 0.2094
```



Structure and simulated XRD peak list of Cs4Si2PdO7 (the GGA-PBE geometry in OQMD; a wavelength of 1.5418 Å).
Kinematic intensities with the Lorentz-polarization factor, no thermal factor.

Top 10 peaks for 10° ≤ 2θ ≤ 90°, low angle first:
d = 3.941 Å, rel. 30
d = 3.658 Å, rel. 46
d = 3.496 Å, rel. 80
d = 3.333 Å, rel. 41
d = 3.305 Å, rel. 100
d = 3.177 Å, rel. 85
d = 3.154 Å, rel. 52
d = 2.814 Å, rel. 73
d = 2.526 Å, rel. 51
d = 1.880 Å, rel. 31

Structure:
```
data_Cs4Si2PdO7
_chemical_formula_sum 'Cs4 Si2 Pd1 O7'
_cell_length_a 6.4719
_cell_length_b 7.3411
_cell_length_c 7.3801
_cell_angle_alpha 113.95
_cell_angle_beta 100.52
_cell_angle_gamma 107.93
_symmetry_space_group_name_H-M 'P 1'
_symmetry_Int_Tables_number 1
loop_
_symmetry_equiv_pos_as_xyz
'x,y,z'
loop_
_atom_site_label
_atom_site_type_symbol
_atom_site_fract_x
_atom_site_fract_y
_atom_site_fract_z
Cs1 Cs 0.0628 0.0396 0.2752
Cs2 Cs 0.3332 0.6064 0.2320
Cs3 Cs 0.6668 0.3936 0.7680
Cs4 Cs 0.9372 0.9604 0.7248
Si1 Si 0.2107 0.5776 0.7196
Si2 Si 0.7893 0.4224 0.2804
Pd1 Pd 0.5000 0.0000 0.0000
O1 O 0.0000 0.5000 0.5000
O2 O 0.1767 0.7605 0.9235
O3 O 0.2005 0.3639 0.7356
O4 O 0.4624 0.7343 0.7246
O5 O 0.5376 0.2657 0.2754
O6 O 0.7995 0.6361 0.2644
O7 O 0.8233 0.2395 0.0765
```



Structure and simulated XRD peak list of Cs2SnPdO4 (the GGA-PBE geometry in OQMD; a wavelength of 1.5418 Å).
Kinematic intensities with the Lorentz-polarization factor, no thermal factor.

Top 10 peaks for 10° ≤ 2θ ≤ 90°, low angle first:
d = 4.665 Å, rel. 56
d = 4.369 Å, rel. 30
d = 3.691 Å, rel. 98
d = 3.230 Å, rel. 100
d = 3.019 Å, rel. 42
d = 2.803 Å, rel. 28
d = 2.509 Å, rel. 44
d = 2.205 Å, rel. 89
d = 2.185 Å, rel. 22
d = 1.929 Å, rel. 24

Structure:
```
data_Cs2SnPdO4
_chemical_formula_sum 'Cs4 Sn2 Pd2 O8'
_cell_length_a 6.0378
_cell_length_b 5.0174
_cell_length_c 12.6611
_cell_angle_alpha 90.00
_cell_angle_beta 90.00
_cell_angle_gamma 90.00
_symmetry_space_group_name_H-M 'P 1'
_symmetry_Int_Tables_number 1
loop_
_symmetry_equiv_pos_as_xyz
'x,y,z'
loop_
_atom_site_label
_atom_site_type_symbol
_atom_site_fract_x
_atom_site_fract_y
_atom_site_fract_z
Cs1 Cs 0.0000 0.0000 0.0000
Cs2 Cs 0.0000 0.5000 0.5000
Cs3 Cs 0.5000 0.0000 0.3908
Cs4 Cs 0.5000 0.5000 0.8908
Sn1 Sn 0.5000 0.0000 0.6886
Sn2 Sn 0.5000 0.5000 0.1886
Pd1 Pd 0.0000 0.0000 0.6945
Pd2 Pd 0.0000 0.5000 0.1945
O1 O 0.2477 0.0000 0.5848
O2 O 0.2477 0.5000 0.0848
O3 O 0.2566 0.0000 0.7986
O4 O 0.2566 0.5000 0.2986
O5 O 0.7434 0.0000 0.7986
O6 O 0.7434 0.5000 0.2986
O7 O 0.7523 0.0000 0.5848
O8 O 0.7523 0.5000 0.0848
```



Structure and simulated XRD peak list of CsPmO3 (the GGA-PBE geometry in OQMD; a wavelength of 1.5418 Å).
Kinematic intensities with the Lorentz-polarization factor, no thermal factor.

Top 10 peaks for 10° ≤ 2θ ≤ 90°, low angle first:
d = 3.268 Å, rel. 100
d = 2.311 Å, rel. 30
d = 1.889 Å, rel. 32
d = 1.883 Å, rel. 11
d = 1.636 Å, rel. 10
d = 1.632 Å, rel. 10
d = 1.463 Å, rel. 9
d = 1.461 Å, rel. 9
d = 1.237 Å, rel. 11
d = 1.235 Å, rel. 5

Structure:
```
data_CsPmO3
_chemical_formula_sum 'Cs2 Pm2 O6'
_cell_length_a 6.5280
_cell_length_b 6.5280
_cell_length_c 6.5280
_cell_angle_alpha 60.18
_cell_angle_beta 60.18
_cell_angle_gamma 60.18
_symmetry_space_group_name_H-M 'P 1'
_symmetry_Int_Tables_number 1
loop_
_symmetry_equiv_pos_as_xyz
'x,y,z'
loop_
_atom_site_label
_atom_site_type_symbol
_atom_site_fract_x
_atom_site_fract_y
_atom_site_fract_z
Cs1 Cs 0.2500 0.2500 0.2500
Cs2 Cs 0.7500 0.7500 0.7500
Pm1 Pm 0.0000 0.0000 0.0000
Pm2 Pm 0.5000 0.5000 0.5000
O1 O 0.2476 0.7500 0.2524
O2 O 0.2500 0.7476 0.7524
O3 O 0.2524 0.2476 0.7500
O4 O 0.7476 0.7524 0.2500
O5 O 0.7500 0.2524 0.2476
O6 O 0.7524 0.2500 0.7476
```



Structure and simulated XRD peak list of CsPmSO (the GGA-PBE geometry in OQMD; a wavelength of 1.5418 Å).
Kinematic intensities with the Lorentz-polarization factor, no thermal factor.

Top 10 peaks for 10° ≤ 2θ ≤ 90°, low angle first:
d = 4.416 Å, rel. 24
d = 4.263 Å, rel. 74
d = 3.499 Å, rel. 65
d = 3.422 Å, rel. 100
d = 2.869 Å, rel. 50
d = 2.519 Å, rel. 52
d = 2.434 Å, rel. 23
d = 2.380 Å, rel. 33
d = 1.998 Å, rel. 23
d = 1.893 Å, rel. 43

Structure:
```
data_CsPmSO
_chemical_formula_sum 'Cs4 Pm4 S4 O4'
_cell_length_a 8.8311
_cell_length_b 9.7347
_cell_length_c 5.7374
_cell_angle_alpha 90.00
_cell_angle_beta 90.00
_cell_angle_gamma 90.00
_symmetry_space_group_name_H-M 'P 1'
_symmetry_Int_Tables_number 1
loop_
_symmetry_equiv_pos_as_xyz
'x,y,z'
loop_
_atom_site_label
_atom_site_type_symbol
_atom_site_fract_x
_atom_site_fract_y
_atom_site_fract_z
Cs1 Cs 0.1146 0.1011 0.0000
Cs2 Cs 0.3854 0.1011 0.5000
Cs3 Cs 0.6146 0.8989 0.0000
Cs4 Cs 0.8854 0.8989 0.5000
Pm1 Pm 0.0723 0.6348 0.0019
Pm2 Pm 0.4277 0.6348 0.5019
Pm3 Pm 0.5723 0.3652 0.0019
Pm4 Pm 0.9277 0.3652 0.5019
S1 S 0.1062 0.6058 0.5022
S2 S 0.3938 0.6058 0.0022
S3 S 0.6062 0.3942 0.5022
S4 S 0.8938 0.3942 0.0022
O1 O 0.0321 0.1775 0.5013
O2 O 0.4679 0.1775 0.0013
O3 O 0.5321 0.8225 0.5013
O4 O 0.9679 0.8225 0.0013
```